LiNpTlBr5: simulated XRD peak list (a wavelength of 1.5418 Å), based on the GGA-PBE geometry in Alexandria.
Peak positions follow from Bragg's law for the DFT cell and can differ from measured ones.

Structural model:
Cell lengths 7.958, 7.958, 10.644 Å; angles 103.82, 103.82, 107.26 degrees
Element x y z (fractional)
1 Li 0.190 0.810 0.750
2 Li 0.810 0.190 0.250
3 Np 0.500 0.500 0.000
4 Np 0.500 0.500 0.500
5 Tl 0.141 0.859 0.250
6 Tl 0.859 0.141 0.750
7 Br 0.120 0.249 0.435
8 Br 0.179 0.580 0.881
9 Br 0.249 0.120 0.935
10 Br 0.409 0.591 0.250
11 Br 0.420 0.821 0.619
12 Br 0.580 0.179 0.381
13 Br 0.591 0.409 0.750
14 Br 0.751 0.880 0.065
15 Br 0.821 0.420 0.119
16 Br 0.880 0.751 0.565

Principal peaks in the range 2θ from 15° to 90°, most intense first:
2θ = 18.29°, I = 100
2θ = 26.07°, I = 45
2θ = 20.56°, I = 43
2θ = 26.49°, I = 41
2θ = 29.32°, I = 39
2θ = 35.32°, I = 37


ThSc4Ag: simulated XRD peak list (a wavelength of 1.5418 Å), based on the GGA-PBE geometry in Alexandria.
Peak positions follow from Bragg's law for the DFT cell and can differ from measured ones.

Structural model:
Cell lengths 3.369, 3.369, 12.966 Å; angles 90.00, 90.00, 90.00 degrees
Element x y z (fractional)
1 Th 0.000 0.000 0.000
2 Sc 0.000 0.000 0.362
3 Sc 0.000 0.000 0.638
4 Sc 0.500 0.500 0.185
5 Sc 0.500 0.500 0.815
6 Ag 0.500 0.500 0.500

Principal peaks in the range 2θ from 15° to 90°, most intense first:
2θ = 33.73°, I = 100
2θ = 27.35°, I = 40
2θ = 37.76°, I = 39
2θ = 65.61°, I = 27
2θ = 57.58°, I = 17
2θ = 40.33°, I = 17


ScSn4Pd: simulated XRD peak list (a wavelength of 1.5418 Å), based on the GGA-PBE geometry in Alexandria.
Peak positions follow from Bragg's law for the DFT cell and can differ from measured ones.

Structural model:
Cell lengths 8.045, 8.045, 8.045 Å; angles 131.88, 131.88, 70.42 degrees
Element x y z (fractional)
1 Sc 0.250 0.250 0.000
2 Sc 0.750 0.750 0.000
3 Sn 0.049 0.549 0.823
4 Sn 0.226 0.049 0.500
5 Sn 0.274 0.774 0.823
6 Sn 0.451 0.274 0.500
7 Sn 0.549 0.726 0.500
8 Sn 0.726 0.226 0.177
9 Sn 0.774 0.951 0.500
10 Sn 0.951 0.451 0.177
11 Pd 0.000 0.000 0.000
12 Pd 0.500 0.500 0.000

Principal peaks in the range 2θ from 15° to 90°, most intense first:
2θ = 31.24°, I = 100
2θ = 38.80°, I = 56
2θ = 46.37°, I = 51
2θ = 33.41°, I = 42
2θ = 43.63°, I = 42
2θ = 36.87°, I = 31


TcClO: simulated XRD peak list (a wavelength of 1.5418 Å), based on the GGA-PBE geometry in Alexandria.
Peak positions follow from Bragg's law for the DFT cell and can differ from measured ones.

Structural model:
Cell lengths 6.026, 5.450, 6.065 Å; angles 90.00, 119.79, 90.00 degrees
Element x y z (fractional)
1 Tc 0.030 0.000 0.313
2 Tc 0.467 0.500 0.686
3 Tc 0.533 0.000 0.314
4 Tc 0.970 0.500 0.687
5 Cl 0.115 0.150 0.980
6 Cl 0.386 0.650 0.022
7 Cl 0.614 0.150 0.978
8 Cl 0.885 0.650 0.020
9 O 0.127 0.314 0.505
10 O 0.372 0.815 0.494
11 O 0.628 0.315 0.506
12 O 0.873 0.814 0.495

Principal peaks in the range 2θ from 15° to 90°, most intense first:
2θ = 23.50°, I = 100
2θ = 34.29°, I = 43
2θ = 38.17°, I = 31
2θ = 48.90°, I = 30
2θ = 48.24°, I = 29
2θ = 34.00°, I = 27


HfAl5Ni2: simulated XRD peak list (a wavelength of 1.5418 Å), based on the GGA-PBE geometry in Alexandria.
Peak positions follow from Bragg's law for the DFT cell and can differ from measured ones.

Structural model:
Cell lengths 7.809, 7.809, 7.809 Å; angles 150.24, 150.24, 42.59 degrees
Element x y z (fractional)
1 Hf 0.000 0.000 0.000
2 Al 0.147 0.647 0.500
3 Al 0.353 0.853 0.500
4 Al 0.500 0.500 0.000
5 Al 0.647 0.147 0.500
6 Al 0.853 0.353 0.500
7 Ni 0.241 0.241 0.000
8 Ni 0.759 0.759 0.000

Principal peaks in the range 2θ from 15° to 90°, most intense first:
2θ = 40.33°, I = 100
2θ = 23.00°, I = 58
2θ = 45.22°, I = 39
2θ = 24.47°, I = 29
2θ = 31.55°, I = 28
2θ = 80.15°, I = 26


Nd3Er7: simulated XRD peak list (a wavelength of 1.5418 Å), based on the GGA-PBE geometry in Alexandria.
Peak positions follow from Bragg's law for the DFT cell and can differ from measured ones.

Structural model:
Cell lengths 9.411, 9.411, 7.124 Å; angles 100.89, 100.89, 30.98 degrees
Element x y z (fractional)
1 Nd 0.000 0.000 0.000
2 Nd 0.199 0.199 0.601
3 Nd 0.801 0.801 0.399
4 Er 0.000 0.000 0.500
5 Er 0.200 0.200 0.100
6 Er 0.400 0.400 0.199
7 Er 0.401 0.401 0.700
8 Er 0.599 0.599 0.300
9 Er 0.600 0.600 0.801
10 Er 0.800 0.800 0.900

Principal peaks in the range 2θ from 15° to 90°, most intense first:
2θ = 30.78°, I = 100
2θ = 35.69°, I = 51
2θ = 51.36°, I = 36
2θ = 61.07°, I = 36
2θ = 64.11°, I = 12
2θ = 83.83°, I = 12


RbAgAs: simulated XRD peak list (a wavelength of 1.5418 Å), based on the GGA-PBE geometry in Alexandria.
Peak positions follow from Bragg's law for the DFT cell and can differ from measured ones.

Structural model:
Cell lengths 6.911, 6.911, 6.911 Å; angles 139.76, 109.10, 84.80 degrees
Element x y z (fractional)
1 Rb 0.000 0.000 0.000
2 Rb 0.584 0.084 0.500
3 Ag 0.069 0.754 0.315
4 Ag 0.439 0.754 0.685
5 As 0.174 0.338 0.837
6 As 0.501 0.338 0.163

Principal peaks in the range 2θ from 15° to 90°, most intense first:
2θ = 28.31°, I = 100
2θ = 32.36°, I = 90
2θ = 30.45°, I = 77
2θ = 34.70°, I = 76
2θ = 53.24°, I = 59
2θ = 37.84°, I = 57


Nd4CdIn2Hg: simulated XRD peak list (a wavelength of 1.5418 Å), based on the GGA-PBE geometry in Alexandria.
Peak positions follow from Bragg's law for the DFT cell and can differ from measured ones.

Structural model:
Cell lengths 9.478, 9.478, 9.478 Å; angles 33.58, 33.58, 33.58 degrees
Element x y z (fractional)
1 Nd 0.124 0.124 0.124
2 Nd 0.374 0.374 0.374
3 Nd 0.626 0.626 0.626
4 Nd 0.876 0.876 0.876
5 Cd 0.500 0.500 0.500
6 In 0.248 0.248 0.248
7 In 0.752 0.752 0.752
8 Hg 0.000 0.000 0.000

Principal peaks in the range 2θ from 15° to 90°, most intense first:
2θ = 32.71°, I = 100
2θ = 58.39°, I = 38
2θ = 46.94°, I = 18
2θ = 78.06°, I = 16
2θ = 68.56°, I = 12
2θ = 87.23°, I = 4


BaNaPa2O7: simulated XRD peak list (a wavelength of 1.5418 Å), based on the GGA-PBE geometry in Alexandria.
Peak positions follow from Bragg's law for the DFT cell and can differ from measured ones.

Structural model:
Cell lengths 11.065, 11.065, 11.065 Å; angles 157.15, 157.15, 32.53 degrees
Element x y z (fractional)
1 Ba 0.000 0.000 0.000
2 Na 0.750 0.250 0.500
3 Pa 0.394 0.394 0.000
4 Pa 0.606 0.606 0.000
5 O 0.089 0.589 0.500
6 O 0.301 0.301 0.000
7 O 0.411 0.911 0.500
8 O 0.500 0.500 0.000
9 O 0.593 0.093 0.500
10 O 0.699 0.699 0.000
11 O 0.907 0.407 0.500

Principal peaks in the range 2θ from 15° to 90°, most intense first:
2θ = 29.27°, I = 100
2θ = 23.87°, I = 66
2θ = 28.80°, I = 56
2θ = 20.69°, I = 54
2θ = 51.33°, I = 45
2θ = 41.19°, I = 38


Sm3Dy3Tm4: simulated XRD peak list (a wavelength of 1.5418 Å), based on the GGA-PBE geometry in Alexandria.
Peak positions follow from Bragg's law for the DFT cell and can differ from measured ones.

Structural model:
Cell lengths 3.647, 9.380, 9.380 Å; angles 89.87, 90.00, 90.00 degrees
Element x y z (fractional)
1 Sm 0.000 0.000 0.000
2 Sm 0.000 0.499 0.848
3 Sm 0.000 0.848 0.499
4 Dy 0.000 0.348 0.348
5 Dy 0.500 0.175 0.670
6 Dy 0.500 0.670 0.175
7 Tm 0.500 0.051 0.299
8 Tm 0.500 0.299 0.051
9 Tm 0.500 0.549 0.549
10 Tm 0.500 0.798 0.798

Principal peaks in the range 2θ from 15° to 90°, most intense first:
2θ = 32.53°, I = 100
2θ = 30.13°, I = 63
2θ = 31.06°, I = 31
2θ = 55.99°, I = 19
2θ = 59.51°, I = 19
2θ = 34.47°, I = 16


Rb2InSeI6: simulated XRD peak list (a wavelength of 1.5418 Å), based on the GGA-PBE geometry in Alexandria.
Peak positions follow from Bragg's law for the DFT cell and can differ from measured ones.

Structural model:
Cell lengths 8.545, 8.545, 8.545 Å; angles 119.21, 119.21, 91.38 degrees
Element x y z (fractional)
1 Rb 0.250 0.750 0.500
2 Rb 0.750 0.250 0.500
3 In 0.000 0.000 0.000
4 Se 0.500 0.500 0.000
5 I 0.240 0.240 0.481
6 I 0.240 0.760 0.000
7 I 0.266 0.266 0.000
8 I 0.734 0.734 0.000
9 I 0.760 0.240 0.000
10 I 0.760 0.760 0.519

Principal peaks in the range 2θ from 15° to 90°, most intense first:
2θ = 25.44°, I = 100
2θ = 29.21°, I = 84
2θ = 42.32°, I = 58
2θ = 29.94°, I = 38
2θ = 49.56°, I = 31
2θ = 41.78°, I = 31


Sc4AlIn3: simulated XRD peak list (a wavelength of 1.5418 Å), based on the GGA-PBE geometry in Alexandria.
Peak positions follow from Bragg's law for the DFT cell and can differ from measured ones.

Structural model:
Cell lengths 3.166, 3.166, 17.304 Å; angles 90.00, 90.00, 90.00 degrees
Element x y z (fractional)
1 Sc 0.000 0.000 0.113
2 Sc 0.000 0.000 0.371
3 Sc 0.000 0.000 0.629
4 Sc 0.000 0.000 0.887
5 Al 0.500 0.500 0.000
6 In 0.500 0.500 0.244
7 In 0.500 0.500 0.500
8 In 0.500 0.500 0.756

Principal peaks in the range 2θ from 15° to 90°, most intense first:
2θ = 35.12°, I = 100
2θ = 40.28°, I = 35
2θ = 69.90°, I = 24
2θ = 59.41°, I = 19
2θ = 41.75°, I = 15
2θ = 20.53°, I = 12


Sc6SeS3: simulated XRD peak list (a wavelength of 1.5418 Å), based on the GGA-PBE geometry in Alexandria.
Peak positions follow from Bragg's law for the DFT cell and can differ from measured ones.

Structural model:
Cell lengths 10.723, 3.629, 11.076 Å; angles 90.00, 113.99, 90.00 degrees
Element x y z (fractional)
1 Sc 0.031 0.250 0.397
2 Sc 0.109 0.750 0.948
3 Sc 0.229 0.750 0.276
4 Sc 0.251 0.250 0.765
5 Sc 0.409 0.250 0.568
6 Sc 0.438 0.250 0.119
7 Sc 0.562 0.750 0.881
8 Sc 0.591 0.750 0.432
9 Sc 0.749 0.750 0.235
10 Sc 0.771 0.250 0.724
11 Sc 0.891 0.250 0.052
12 Sc 0.969 0.750 0.603
13 Se 0.212 0.750 0.562
14 Se 0.788 0.250 0.438
15 S 0.023 0.250 0.776
16 S 0.347 0.750 0.940
17 S 0.412 0.250 0.339
18 S 0.588 0.750 0.661
19 S 0.653 0.250 0.060
20 S 0.977 0.750 0.224

Principal peaks in the range 2θ from 15° to 90°, most intense first:
2θ = 36.36°, I = 100
2θ = 33.55°, I = 57
2θ = 33.75°, I = 55
2θ = 50.29°, I = 44
2θ = 30.66°, I = 37
2θ = 33.99°, I = 36


Pm3Y5Tm4: simulated XRD peak list (a wavelength of 1.5418 Å), based on the GGA-PBE geometry in Alexandria.
Peak positions follow from Bragg's law for the DFT cell and can differ from measured ones.

Structural model:
Cell lengths 6.168, 7.128, 8.722 Å; angles 90.04, 90.05, 90.17 degrees
Element x y z (fractional)
1 Pm 0.000 0.000 0.000
2 Pm 0.165 0.748 0.666
3 Pm 0.835 0.252 0.334
4 Y 0.000 0.500 0.000
5 Y 0.333 0.000 0.334
6 Y 0.499 0.251 0.000
7 Y 0.501 0.749 0.000
8 Y 0.667 0.000 0.666
9 Tm 0.168 0.252 0.666
10 Tm 0.335 0.500 0.335
11 Tm 0.665 0.500 0.665
12 Tm 0.832 0.748 0.334

Principal peaks in the range 2θ from 15° to 90°, most intense first:
2θ = 30.74°, I = 100
2θ = 35.65°, I = 51
2θ = 51.27°, I = 24
2θ = 61.03°, I = 21
2θ = 60.95°, I = 17
2θ = 51.35°, I = 12